This entry pairs a crystal structure of FeNiAs2O8 with its computed powder XRD pattern. Radiation: λ = 1.5418 Å (Cu Kα). Structure: a structure optimized by DFT (GGA+U).

Crystal structure
```
data_FeNiAs2O8
_chemical_formula_sum 'Fe2 Ni2 As4 O16'
_cell_length_a 6.5956
_cell_length_b 6.5956
_cell_length_c 6.2798
_cell_angle_alpha 90.00
_cell_angle_beta 90.00
_cell_angle_gamma 90.00
_symmetry_space_group_name_H-M 'I -4 m 2'
_symmetry_Int_Tables_number 119
_symmetry_space_group_name_Hall 'I -4 -2'
loop_
_atom_site_label
_atom_site_type_symbol
_atom_site_fract_x
_atom_site_fract_y
_atom_site_fract_z
Fe1 Fe 0.0000 0.0000 0.0000
Ni1 Ni 0.0000 0.5000 0.2500
As1 As 0.0000 0.0000 0.5000
As2 As 0.0000 0.5000 0.7500
O1 O 0.0000 0.1886 0.3094
O2 O 0.0000 0.3051 0.9309
```

Most intense lines, 10 to 90 degrees two-theta, in order of rising 2θ:
hkl 2 0 0, 27.04 deg, rel. 1000; hkl 1 1 2, 34.43 deg, rel. 718; hkl 2 2 0, 38.61 deg, rel. 143; hkl 3 1 2, 52.68 deg, rel. 609; hkl 4 0 0, 55.75 deg, rel. 165; hkl 3 3 2, 67.19 deg, rel. 184